# NaTl7In3
Calculated powder diffraction line list, Cu Kα. Input: a crystal structure in Alexandria, relaxed with GGA-PBE.
Lines closer than 0.1° are merged.

Atomic structure:
Lattice parameters (Å, degrees): 6.822 6.822 8.290 90.00 90.00 120.00
Fractional positions:
Na (0.000, 0.000, 0.000)
Tl (0.333, 0.667, 0.682)
Tl (0.341, 0.170, 0.659)
Tl (0.503, 0.006, 0.026)
Tl (0.503, 0.497, 0.026)
Tl (0.830, 0.170, 0.659)
Tl (0.830, 0.659, 0.659)
Tl (0.994, 0.497, 0.026)
In (0.167, 0.335, 0.344)
In (0.167, 0.833, 0.344)
In (0.665, 0.833, 0.344)

Principal peaks in the range 2θ = 10–90°, in order of rising 2θ:
- 2θ 18.44, d 4.811, rel. 12, hkl 1 0 1
- 2θ 32.17, d 2.782, rel. 100, hkl 0 2 1
- 2θ 32.40, d 2.763, rel. 29, hkl 0 0 3
- 2θ 37.38, d 2.406, rel. 62, hkl 2 0 2
- 2θ 53.75, d 1.705, rel. 22, hkl 2 2 0
- 2θ 54.05, d 1.697, rel. 23, hkl 0 2 4
- 2θ 64.04, d 1.454, rel. 14, hkl 4 0 1
- 2θ 64.17, d 1.451, rel. 24, hkl 2 2 3
- 2θ 67.30, d 1.391, rel. 11, hkl 0 4 2
- 2θ 88.33, d 1.106, rel. 12, hkl 2 4 1